# 1
For Cu5Ag3, a GGA-PBE-relaxed structure gives the computed XRD peak list in this record (Cu Kα (weighted mean of Kα1 and Kα2)).
Intensities are scaled so that the largest is 100.

The 10 most intense peaks (10 to 90 degrees two-theta), by intensity:
2θ (°)  I/Imax  h k l
40.63  100  1 1 2
46.88  46  3 1 -2
41.09  32  4 0 0
48.44  16  2 0 4
82.76  15  4 2 0
69.38  10  1 1 -6
70.03  10  5 1 2
87.96  8  2 2 4
82.48  8  2 2 -4
83.36  7  7 1 -2

Cell and atoms:
abc: 8.973 2.751 9.342
angles: 90.00 101.67 90.00
Atoms (fractional coordinates):
Cu1 0.000 0.000 0.000
Cu2 0.010 0.500 0.247
Cu3 0.226 0.500 0.591
Cu4 0.247 0.000 0.374
Cu5 0.488 0.500 0.468
Cu6 0.500 0.500 0.000
Cu7 0.510 0.000 0.247
Cu8 0.726 0.000 0.591
Cu9 0.747 0.500 0.374
Cu10 0.988 0.000 0.468
Ag1 0.245 0.000 0.860
Ag2 0.255 0.500 0.130
Ag3 0.481 0.000 0.717
Ag4 0.745 0.500 0.860
Ag5 0.755 0.000 0.130
Ag6 0.981 0.500 0.717

# 2
For Cu5Ag, a GGA-PBE-relaxed structure gives the computed XRD peak list in this record (Cu Kα (weighted mean of Kα1 and Kα2)).
Intensities are scaled so that the largest is 100.

The 10 most intense peaks (10 to 90 degrees two-theta), by intensity:
2θ (°)  I/Imax  h k l
41.76  100  1 0 2
48.86  59  0 1 4
42.61  28  0 0 6
86.46  19  1 1 6
70.98  18  1 1 0
72.19  15  1 0 8
85.88  11  0 2 2
87.60  8  0 1 10
35.25  3  0 0 5
44.82  3  0 1 3

Cell and atoms:
abc: 2.656 2.656 12.731
angles: 90.00 90.00 120.00
Atoms (fractional coordinates):
Cu1 0.000 0.000 0.000
Cu2 0.333 0.667 0.319
Cu3 0.333 0.667 0.840
Cu4 0.667 0.333 0.160
Cu5 0.667 0.333 0.681
Ag1 0.000 0.000 0.500